This entry pairs a crystal structure of K2LiNd4Nb2O12 with its calculated powder diffraction line list. Radiation: Cu Kα. Structure: a cell relaxed with GGA-PBE.

Principal peaks in the range 5 to 70 degrees two-theta, sorted by position:
| Position (°2θ) | d [Å] | Rel. int. |
| --- | --- | --- |
| 10.3 | 8.561 | 51 |
| 26.1 | 3.415 | 53 |
| 28.5 | 3.130 | 100 |
| 28.7 | 3.106 | 24 |
| 29.7 | 3.010 | 71 |
| 31.0 | 2.880 | 34 |
| 42.8 | 2.112 | 33 |
| 46.3 | 1.963 | 20 |
| 51.8 | 1.765 | 20 |
| 53.7 | 1.707 | 18 |

Atomic structure:
```
K2LiNd4Nb2O12
1.0
6.4904 -2.8805 0.0000
6.4904 2.8805 0.0000
-2.5897 0.0000 8.5615
K Li Nd Nb O
2 1 4 2 12
Cartesian
0.0000 0.0000 0.0000 K
9.1004 0.0000 0.6534 K
8.2008 0.0000 7.3488 Li
2.7108 0.0000 2.4109 Nd
3.9415 0.0000 5.7825 Nd
7.8429 0.0000 4.4435 Nd
11.6262 0.0000 3.5307 Nd
0.4902 0.0000 6.5758 Nb
5.9879 0.0000 1.5293 Nb
1.9454 1.3530 6.5088 O
3.2728 1.4743 4.0834 O
4.6274 1.3943 1.5797 O
-0.1177 0.0000 8.3423 O
5.9221 1.5312 5.5150 O
7.2557 1.3684 2.4516 O
4.1417 0.0000 8.3303 O
1.9454 -1.3530 6.5088 O
3.2728 -1.4743 4.0834 O
4.6274 -1.3943 1.5797 O
5.9221 -1.5312 5.5150 O
7.2557 -1.3684 2.4516 O
```

This entry pairs a crystal structure of K2LiNd4Nb2O12 with its calculated powder diffraction line list. Radiation: Cu Kα. Structure: a cell relaxed with GGA-PBE.

Principal peaks in the range 5 to 70 degrees two-theta, sorted by position:
| Position (°2θ) | d [Å] | Rel. int. |
| --- | --- | --- |
| 10.2 | 8.655 | 40 |
| 26.6 | 3.354 | 57 |
| 28.3 | 3.155 | 100 |
| 29.5 | 3.033 | 20 |
| 30.1 | 2.970 | 56 |
| 30.9 | 2.890 | 36 |
| 43.2 | 2.092 | 29 |
| 44.0 | 2.059 | 23 |
| 46.5 | 1.952 | 19 |
| 53.4 | 1.716 | 18 |

Atomic structure:
```
K2LiNd4Nb2O12
1.0
6.3031 -2.8904 0.0000
6.3031 2.8904 0.0000
-2.4472 0.0000 8.6554
K Li Nd Nb O
2 1 4 2 12
Cartesian
0.0000 0.0000 0.0000 K
0.6628 0.0000 8.4582 K
-0.3811 0.0000 2.8303 Li
2.3332 0.0000 3.7507 Nd
6.0343 0.0000 2.5497 Nd
7.2026 0.0000 5.9350 Nd
11.0273 0.0000 5.1213 Nd
3.9250 0.0000 6.8600 Nb
9.3194 0.0000 1.7022 Nb
2.8459 1.3782 5.8259 O
4.2304 1.5893 2.7374 O
5.3491 1.3666 6.8321 O
6.6237 1.5349 4.2227 O
7.9504 1.4002 1.7923 O
3.2674 0.0000 8.6167 O
2.8459 -1.3782 5.8259 O
4.2304 -1.5893 2.7374 O
7.5386 0.0000 8.6097 O
5.3491 -1.3666 6.8321 O
6.6237 -1.5349 4.2227 O
7.9504 -1.4002 1.7923 O
```

This entry pairs a crystal structure of K2LiNd4Nb2O12 with its calculated powder diffraction line list. Radiation: Cu Kα. Structure: a cell relaxed with GGA-PBE.

Principal peaks in the range 5 to 70 degrees two-theta, sorted by position:
| Position (°2θ) | d [Å] | Rel. int. |
| --- | --- | --- |
| 10.4 | 8.523 | 40 |
| 26.6 | 3.353 | 63 |
| 28.1 | 3.170 | 100 |
| 30.7 | 2.908 | 43 |
| 31.0 | 2.881 | 30 |
| 42.6 | 2.122 | 21 |
| 44.9 | 2.017 | 15 |
| 45.5 | 1.993 | 27 |
| 52.9 | 1.730 | 14 |
| 53.5 | 1.714 | 22 |

Atomic structure:
```
K2LiNd4Nb2O12
1.0
6.4283 -2.8813 0.0000
6.4283 2.8813 0.0000
-1.8643 0.0000 8.5234
K Li Nd Nb O
2 1 4 2 12
Cartesian
0.0000 0.0000 0.0000 K
1.0048 0.0000 7.5268 K
9.6927 0.0000 6.3708 Li
2.3270 0.0000 3.0757 Nd
6.0972 0.0000 1.8962 Nd
7.2071 0.0000 5.2531 Nd
11.4735 0.0000 4.0774 Nd
4.0632 0.0000 6.1347 Nb
9.5291 0.0000 1.0217 Nb
2.8751 1.3885 5.1867 O
4.2024 1.5648 2.1371 O
5.4430 1.4338 6.1315 O
6.8360 1.4818 3.5411 O
8.1498 1.3505 1.1353 O
3.6494 0.0000 7.9848 O
2.8751 -1.3885 5.1867 O
4.2024 -1.5648 2.1371 O
5.4430 -1.4338 6.1315 O
8.2999 0.0000 7.7544 O
6.8360 -1.4818 3.5411 O
8.1498 -1.3505 1.1353 O
```